Starting from a structure optimized by DFT (PBE), the powder diffractogram of NbI was calculated for a wavelength of 1.5418 Å.
Peak positions follow from Bragg's law for the DFT cell and can differ from measured ones.

The 6 most intense peaks (2θ from 5° to 70°), by angle:
(1 0 1), 27.82°, intensity 100.0; (1 1 2), 37.07°, intensity 48.8; (0 4 2), 37.43°, intensity 34.1; (1 4 1), 38.21°, intensity 48.5; (1 5 0), 40.80°, intensity 30.9; (2 0 0), 49.83°, intensity 32.9

Crystal structure
```
NbI
1.0
3.6593 0.0000 0.0000
0.0000 13.8811 0.0000
0.0000 0.0000 6.6612
Nb I
6 6
Direct
0.2500 0.1531 0.0068
0.2500 0.3469 0.0068
0.2500 0.7500 0.7702
0.7500 0.2500 0.2298
0.7500 0.6531 0.9932
0.7500 0.8469 0.9932
0.2500 0.2500 0.6260
0.2500 0.5403 0.7481
0.2500 0.9597 0.7481
0.7500 0.0403 0.2519
0.7500 0.4597 0.2519
0.7500 0.7500 0.3740
```

---

Starting from a structure optimized by DFT (PBE), the powder diffractogram of NbI5 was calculated for a wavelength of 1.5418 Å.
Peak positions follow from Bragg's law for the DFT cell and can differ from measured ones.

The 6 most intense peaks (2θ from 5° to 70°), by angle:
(0 0 2), 12.53°, intensity 45.8; (0 2 0), 26.28°, intensity 53.0; (1 1 -4), 27.13°, intensity 100.0; (3 1 -2), 27.59°, intensity 99.4; (2 1 2), 27.81°, intensity 99.4; (4 0 -6), 41.79°, intensity 27.3

Crystal structure
```
NbI5
1.0
11.1713 0.0000 0.0000
0.0000 6.7811 0.0000
-5.2258 0.0000 14.0925
Nb I
4 20
Direct
0.2162 0.0395 0.2934
0.2162 0.4605 0.7934
0.7838 0.5395 0.2066
0.7838 0.9605 0.7066
0.9995 0.2288 0.1714
0.9995 0.2712 0.6714
0.0005 0.7288 0.3286
0.0005 0.7712 0.8286
0.1761 0.2168 0.4418
0.1761 0.2832 0.9418
0.1951 0.7114 0.6473
0.1951 0.7886 0.1473
0.3766 0.7218 0.9159
0.3766 0.7782 0.4159
0.3874 0.2172 0.7724
0.3874 0.2828 0.2724
0.6126 0.7172 0.7276
0.6126 0.7828 0.2276
0.6234 0.2218 0.5841
0.6234 0.2782 0.0841
0.8049 0.2114 0.8527
0.8049 0.2886 0.3527
0.8239 0.7168 0.0582
0.8239 0.7832 0.5582
```

---

Starting from a structure optimized by DFT (PBE), the powder diffractogram of NbI5 was calculated for a wavelength of 1.5418 Å.
Peak positions follow from Bragg's law for the DFT cell and can differ from measured ones.

The 6 most intense peaks (2θ from 5° to 70°), by angle:
(1 1 0), 13.16°, intensity 25.2; (2 1 1), 26.05°, intensity 100.0; (1 3 0), 29.69°, intensity 64.2; (0 0 2), 31.10°, intensity 31.7; (1 3 2), 43.53°, intensity 44.3; (4 2 2), 53.58°, intensity 25.1

Crystal structure
```
NbI5
1.0
9.5156 0.0000 0.0000
0.0000 9.5156 0.0000
0.0000 0.0000 5.7509
Nb I
2 10
Direct
0.0000 0.0000 0.0000
0.5000 0.5000 0.5000
0.0000 0.0000 0.5000
0.0898 0.2727 0.0000
0.2273 0.5898 0.5000
0.2727 0.9102 0.0000
0.4102 0.2273 0.5000
0.5000 0.5000 0.0000
0.5898 0.7727 0.5000
0.7273 0.0898 0.0000
0.7727 0.4102 0.5000
0.9102 0.7273 0.0000
```